[1]
Diffraction record for Tb5Dy12Tm2. The powder XRD pattern is computed, not measured: it uses DFT lattice parameters and positions (GGA-PBE) and Cu Kα, 1.54184 Å.
No peak broadening, texture or thermal motion is included.

Atomic structure:
Unit cell a=6.7282 b=8.7655 c=11.0430 alpha=108.23 beta=91.14 gamma=101.61
Space group P-1 (No. 2)
Inequivalent atoms, fractional coordinates:
Tb 0.0000 0.0000 0.0000 (multiplicity 1)
Tb 0.2371 0.4472 0.0070 (multiplicity 2)
Tb 0.2546 0.5256 0.4909 (multiplicity 2)
Dy 0.0916 0.7421 0.2632 (multiplicity 2)
Dy 0.0966 0.9042 0.6217 (multiplicity 2)
Dy 0.1336 0.6542 0.8011 (multiplicity 2)
Dy 0.3586 0.2656 0.2180 (multiplicity 2)
Dy 0.4208 0.3271 0.7079 (multiplicity 2)
Dy 0.4883 0.8860 0.0951 (multiplicity 2)
Tm 0.3998 0.0793 0.4166 (multiplicity 2)

Peak list (10 most intense, 15 to 90 degrees two-theta, by angle)
2θ (°)	Rel. int.	index
27.87	147	1 -1 3
30.93	110	2 -2 1
31.53	735	2 1 0
31.97	1000	0 2 2
32.17	253	1 2 -3
32.43	471	0 1 -4
32.67	574	-2 1 2
33.18	267	2 -2 2
57.65	151	0 1 6
58.14	111	-2 3 4

[2]
Diffraction record for Tb2Dy4Tm5. The powder XRD pattern is computed, not measured: it uses DFT lattice parameters and positions (GGA-PBE) and Cu Kα, 1.54184 Å.
No peak broadening, texture or thermal motion is included.

Atomic structure:
Unit cell a=23.6090 b=3.4922 c=8.4607 alpha=90.00 beta=94.65 gamma=90.00
Space group C2/m (No. 12)
Inequivalent atoms, fractional coordinates:
Tb 0.2238 0.0000 0.3283 (multiplicity 4)
Dy 0.0394 0.5000 0.8415 (multiplicity 4)
Dy 0.0882 0.0000 0.1923 (multiplicity 4)
Tm 0.0000 0.0000 0.5000 (multiplicity 2)
Tm 0.1299 0.5000 0.5471 (multiplicity 4)
Tm 0.1855 0.5000 0.9725 (multiplicity 4)

Peak list (10 most intense, 15 to 90 degrees two-theta, by angle)
2θ (°)	Rel. int.	index
28.02	627	1 1 1
31.39	1000	8 0 -1
32.13	764	2 0 -3
32.41	731	6 0 2
34.18	979	5 1 1
34.70	897	3 1 -2
52.84	439	3 1 4
62.37	283	8 2 -1
62.60	271	11 1 3
62.94	475	5 1 -5

[3]
Diffraction record for Tb2DyTm4. The powder XRD pattern is computed, not measured: it uses DFT lattice parameters and positions (GGA-PBE) and Cu Kα, 1.54184 Å.
No peak broadening, texture or thermal motion is included.

Atomic structure:
Unit cell a=3.5648 b=3.5648 c=58.8437 alpha=90.00 beta=90.00 gamma=120.00
Space group R3m (No. 160, hexagonal axes)
Inequivalent atoms, fractional coordinates:
Tb 0.0000 0.0000 0.0000 (multiplicity 3)
Tb 0.0000 0.0000 0.0958 (multiplicity 3)
Dy 0.0000 0.0000 0.1914 (multiplicity 3)
Tm 0.0000 0.0000 0.2856 (multiplicity 3)
Tm 0.0000 0.0000 0.3812 (multiplicity 3)
Tm 0.0000 0.0000 0.8104 (multiplicity 3)
Tm 0.0000 0.0000 0.9055 (multiplicity 3)

Peak list (10 most intense, 15 to 90 degrees two-theta, by angle)
2θ (°)	Rel. int.	index
28.96	343	1 0 1
31.94	529	0 0 21
32.76	1000	1 0 10
33.51	973	0 1 11
51.25	425	1 1 0
56.95	201	1 0 31
58.41	205	0 1 32
61.68	487	1 1 21
62.64	162	2 0 11
88.84	185	1 1 42

[4]
Diffraction record for TbDy4Tm4. The powder XRD pattern is computed, not measured: it uses DFT lattice parameters and positions (GGA-PBE) and Cu Kα, 1.54184 Å.
No peak broadening, texture or thermal motion is included.

Atomic structure:
Unit cell a=10.5479 b=10.5479 c=4.9563 alpha=90.00 beta=90.00 gamma=90.00
Space group I4/mmm (No. 139)
Inequivalent atoms, fractional coordinates:
Tb 0.0000 0.0000 0.0000 (multiplicity 2)
Dy 0.0000 0.3327 0.0000 (multiplicity 8)
Tm 0.1667 0.1667 0.5000 (multiplicity 8)

Peak list (10 most intense, 15 to 90 degrees two-theta, by angle)
2θ (°)	Rel. int.	index
31.19	1000	3 0 1
36.13	338	3 3 0
36.25	168	0 0 2
52.08	359	6 0 0
61.91	285	6 3 1
62.07	141	3 0 3
65.05	123	6 0 2
85.05	60	9 0 1
85.20	119	6 3 3
87.83	112	9 3 0

[5]
Diffraction record for TbDy2Y2Tm4. The powder XRD pattern is computed, not measured: it uses DFT lattice parameters and positions (GGA-PBE) and Cu Kα, 1.54184 Å.
No peak broadening, texture or thermal motion is included.

Atomic structure:
Unit cell a=5.9900 b=6.6439 c=8.4823 alpha=78.76 beta=69.43 gamma=63.58
Space group P-1 (No. 2)
Inequivalent atoms, fractional coordinates:
Tb 0.0000 0.0000 0.0000 (multiplicity 1)
Dy 0.1812 0.2231 0.5550 (multiplicity 2)
Y 0.2674 0.6689 0.6612 (multiplicity 2)
Tm 0.2682 0.4251 0.1193 (multiplicity 2)
Tm 0.3877 0.8762 0.2331 (multiplicity 2)

Peak list (10 most intense, 15 to 90 degrees two-theta, by angle)
2θ (°)	Rel. int.	index
29.83	428	2 1 1
31.66	610	0 2 1
32.45	1000	1 0 -2
32.55	998	1 1 3
43.90	146	2 -1 0
44.21	147	2 3 2
49.10	187	0 1 -4
56.82	216	-1 2 3
57.02	199	1 3 4
59.60	205	0 1 5

[6]
Diffraction record for TbDy2YTm. The powder XRD pattern is computed, not measured: it uses DFT lattice parameters and positions (GGA-PBE) and Cu Kα, 1.54184 Å.
No peak broadening, texture or thermal motion is included.

Atomic structure:
Unit cell a=8.3148 b=11.4043 c=7.1832 alpha=90.00 beta=90.00 gamma=90.00
Space group Cmcm (No. 63)
Inequivalent atoms, fractional coordinates:
Tb 0.0000 0.2192 0.2500 (multiplicity 4)
Dy 0.1921 0.0000 0.0000 (multiplicity 8)
Y 0.0000 0.2317 0.7500 (multiplicity 4)
Tm 0.0000 0.4893 0.2500 (multiplicity 4)

Peak list (10 most intense, 15 to 90 degrees two-theta, by angle)
2θ (°)	Rel. int.	index
15.54	446	0 2 0
26.53	387	2 2 0
28.17	404	1 1 2
29.39	476	0 2 2
31.38	606	0 4 0
32.96	1000	2 0 2
36.06	572	1 3 2
40.28	467	3 3 0
46.14	647	2 4 2
66.73	410	5 3 2

[7]
Diffraction record for Tb2DyYTm6. The powder XRD pattern is computed, not measured: it uses DFT lattice parameters and positions (GGA-PBE) and Cu Kα, 1.54184 Å.
No peak broadening, texture or thermal motion is included.

Atomic structure:
Unit cell a=8.9263 b=14.9186 c=9.4771 alpha=90.00 beta=97.95 gamma=90.00
Space group C2/c (No. 15)
Inequivalent atoms, fractional coordinates:
Tb 0.2489 0.0542 0.0437 (multiplicity 8)
Dy 0.0000 0.4084 0.2500 (multiplicity 4)
Y 0.0000 0.0217 0.7500 (multiplicity 4)
Tm 0.0622 0.1893 0.4431 (multiplicity 8)
Tm 0.1045 0.3937 0.6194 (multiplicity 8)
Tm 0.2023 0.2250 0.8151 (multiplicity 8)

Peak list (10 most intense, 15 to 90 degrees two-theta, by angle)
2θ (°)	Rel. int.	index
28.97	341	1 3 2
30.99	465	0 2 3
31.11	703	3 1 -1
31.65	482	1 5 0
32.00	1000	2 2 2
32.68	179	1 5 -1
34.19	658	1 3 -3
38.76	191	3 1 2
51.51	148	1 1 5
61.50	187	4 0 4

[8]
Diffraction record for Tb2Dy2Y6Tm. The powder XRD pattern is computed, not measured: it uses DFT lattice parameters and positions (GGA-PBE) and Cu Kα, 1.54184 Å.
No peak broadening, texture or thermal motion is included.

Atomic structure:
Unit cell a=5.6645 b=12.0365 c=10.4564 alpha=90.00 beta=90.00 gamma=90.00
Space group Cmmm (No. 65)
Inequivalent atoms, fractional coordinates:
Tb 0.0000 0.2081 0.0000 (multiplicity 4)
Dy 0.0000 0.1331 0.5000 (multiplicity 4)
Y 0.0000 0.0000 0.2041 (multiplicity 4)
Y 0.0000 0.3482 0.2974 (multiplicity 8)
Tm 0.0000 0.5000 0.0000 (multiplicity 2)

Peak list (10 most intense, 15 to 90 degrees two-theta, by angle)
2θ (°)	Rel. int.	index
30.92	280	0 4 1
31.03	339	1 1 3
31.59	404	2 0 0
32.26	1000	1 3 2
34.31	185	0 0 4
44.79	202	2 4 1
47.32	150	2 0 4
56.67	263	3 3 2
62.41	172	1 7 3
63.34	143	2 4 5